Structure and simulated X-ray diffraction stick pattern of BaNbO3 (a crystal structure in the Materials Project, relaxed with GGA-PBE; Cu Kα).

Atomic structure:
```
data_BaNbO3
_symmetry_space_group_name_H-M 'P m -3 m'
_symmetry_Int_Tables_number 221
_symmetry_space_group_name_Hall '-P 4 2 3'
_cell_length_a 4.154
_cell_length_b 4.154
_cell_length_c 4.154
_cell_angle_alpha 90.00
_cell_angle_beta 90.00
_cell_angle_gamma 90.00
loop_
_atom_site_label
_atom_site_type_symbol
_atom_site_fract_x
_atom_site_fract_y
_atom_site_fract_z
Ba1 Ba 0.000 0.000 0.000
Nb1 Nb 0.500 0.500 0.500
O1 O 0.000 0.500 0.500
```

Largest 8 diffraction maxima, most intense first, 10 to 90 degrees two-theta:
| 2θ/deg | intensity | index |
| --- | --- | --- |
| 30.43 | 100 | 1 1 0 |
| 54.07 | 40 | 2 1 1 |
| 43.57 | 31 | 2 0 0 |
| 87.95 | 21 | 3 2 1 |
| 63.32 | 19 | 2 2 0 |
| 71.86 | 17 | 3 1 0 |
| 80.01 | 6 | 2 2 2 |
| 37.50 | 6 | 1 1 1 |

Structure and simulated X-ray diffraction stick pattern of BaNb3O6 (a crystal structure in the Materials Project, relaxed with GGA-PBE; Cu Kα).

Atomic structure:
```
data_BaNb3O6
_symmetry_space_group_name_H-M 'R 3 m'
_symmetry_Int_Tables_number 160
_symmetry_space_group_name_Hall 'R 3 -2"'
_cell_length_a 12.3932
_cell_length_b 12.3932
_cell_length_c 2.9103
_cell_angle_alpha 90.00
_cell_angle_beta 90.00
_cell_angle_gamma 120.00
loop_
_atom_site_label
_atom_site_type_symbol
_atom_site_fract_x
_atom_site_fract_y
_atom_site_fract_z
Ba1 Ba 0.0000 0.0000 0.0000
Nb1 Nb 0.0230 0.5115 0.1340
O1 O 0.0062 0.2183 0.9272
```

Largest 8 diffraction maxima, most intense first, 10 to 90 degrees two-theta:
| 2θ/deg | intensity | index |
| --- | --- | --- |
| 28.82 | 100 | 2 2 0 |
| 35.08 | 60 | 0 2 1 |
| 46.01 | 34 | 4 0 1 |
| 55.20 | 29 | 2 4 1 |
| 51.06 | 22 | 6 0 0 |
| 59.69 | 14 | 4 4 0 |
| 53.01 | 13 | 0 5 1 |
| 38.44 | 12 | 4 1 0 |

Structure and simulated X-ray diffraction stick pattern of Ba5Nb4O15 (a crystal structure in the Materials Project, relaxed with GGA-PBE; Cu Kα).

Atomic structure:
```
data_Ba5Nb4O15
_symmetry_space_group_name_H-M 'P -3 m 1'
_symmetry_Int_Tables_number 164
_symmetry_space_group_name_Hall '-P 3 2"'
_cell_length_a 5.8887
_cell_length_b 5.8887
_cell_length_c 12.0027
_cell_angle_alpha 90.00
_cell_angle_beta 90.00
_cell_angle_gamma 120.00
loop_
_atom_site_label
_atom_site_type_symbol
_atom_site_fract_x
_atom_site_fract_y
_atom_site_fract_z
Ba1 Ba 0.0000 0.0000 0.0000
Ba2 Ba 0.3333 0.6667 0.4291
Ba3 Ba 0.3333 0.6667 0.7917
Nb1 Nb 0.0000 0.0000 0.3166
Nb2 Nb 0.3333 0.6667 0.1049
O1 O 0.0000 0.5000 0.0000
O2 O 0.1638 0.3275 0.6127
O3 O 0.1693 0.3386 0.1918
```

Largest 8 diffraction maxima, most intense first, 10 to 90 degrees two-theta:
| 2θ/deg | intensity | index |
| --- | --- | --- |
| 28.35 | 100 | 0 1 3 |
| 30.36 | 84 | 1 1 0 |
| 42.02 | 53 | 2 0 3 |
| 52.71 | 35 | 1 2 3 |
| 48.91 | 20 | 1 0 6 |
| 63.16 | 17 | 2 2 0 |
| 53.94 | 17 | 3 0 0 |
| 70.63 | 16 | 3 1 3 |